Starting from a cell relaxed with GGA-PBE, the X-ray powder pattern of AlAg4F8 was calculated for Cu Kα (λ = 1.5418 Å).
Kinematic intensities with the Lorentz-polarization factor, no thermal factor.

Structural model:
```
data_AlAg4F8
_space_group_name_H-M_alt 'R -3 m'
_space_group_IT_number 166
_space_group_name_Hall '-R 3 2"'
_cell_length_a 6.8949
_cell_length_b 6.8949
_cell_length_c 16.2188
_cell_angle_alpha 90.00
_cell_angle_beta 90.00
_cell_angle_gamma 120.00
loop_
_atom_site_label
_atom_site_fract_x
_atom_site_fract_y
_atom_site_fract_z
Al1 0.0000 0.0000 0.0000
Ag1 0.0000 0.0000 0.5000
Ag2 0.0000 0.5000 0.5000
F1 0.0000 0.0000 0.2278
F2 0.0790 0.5395 0.7321
```

Peak list (12 most intense, 5 to 70 degrees two-theta, in order of rising 2θ)
2θ (°)	d (Å)	I/Imax	(hkl)
15.82	5.603	13.6	1 0 1
16.40	5.406	100.0	0 0 3
30.44	2.936	76.3	0 2 1
31.94	2.802	45.7	2 0 2
33.14	2.703	14.4	0 0 6
37.41	2.404	85.4	0 2 4
41.09	2.197	37.3	2 0 5
49.82	1.830	16.2	0 2 7
53.13	1.724	25.7	2 2 0
54.73	1.677	22.3	2 0 8
55.99	1.642	25.4	2 2 3
64.07	1.453	16.8	2 2 6

Starting from a cell relaxed with GGA-PBE, the X-ray powder pattern of AlAg2F8 was calculated for Cu Kα (λ = 1.5418 Å).
Kinematic intensities with the Lorentz-polarization factor, no thermal factor.

Structural model:
```
data_AlAg2F8
_space_group_name_H-M_alt 'P -1'
_space_group_IT_number 2
_space_group_name_Hall '-P 1'
_cell_length_a 4.908
_cell_length_b 5.404
_cell_length_c 6.064
_cell_angle_alpha 85.42
_cell_angle_beta 86.90
_cell_angle_gamma 75.51
loop_
_atom_site_label
_atom_site_fract_x
_atom_site_fract_y
_atom_site_fract_z
Al1 0.000 0.000 0.000
Ag1 0.474 0.300 0.310
F1 0.153 0.203 0.169
F2 0.236 0.047 0.756
F3 0.241 0.585 0.519
F4 0.261 0.719 0.074
```

Peak list (12 most intense, 5 to 70 degrees two-theta, in order of rising 2θ)
2θ (°)	d (Å)	I/Imax	(hkl)
18.69	4.749	53.3	1 0 0
21.72	4.091	18.2	0 1 1
23.27	3.822	100.0	0 1 -1
24.25	3.671	24.1	1 0 -1
25.46	3.499	51.7	1 1 1
27.54	3.239	29.3	1 1 -1
35.79	2.509	17.3	1 0 -2
38.66	2.329	15.3	1 1 -2
39.52	2.280	18.3	2 1 1
41.05	2.199	21.2	-1 1 2
48.46	1.878	16.7	1 0 3
55.48	1.656	18.3	1 2 3

Starting from a cell relaxed with GGA-PBE, the X-ray powder pattern of AlAg2F5 was calculated for Cu Kα (λ = 1.5418 Å).
Kinematic intensities with the Lorentz-polarization factor, no thermal factor.

Structural model:
```
data_AlAg2F5
_space_group_name_H-M_alt 'C m c m'
_space_group_IT_number 63
_space_group_name_Hall '-C 2c 2'
_cell_length_a 3.722
_cell_length_b 12.685
_cell_length_c 10.241
_cell_angle_alpha 90.00
_cell_angle_beta 90.00
_cell_angle_gamma 90.00
loop_
_atom_site_label
_atom_site_fract_x
_atom_site_fract_y
_atom_site_fract_z
Al1 0.000 0.152 0.250
Ag1 0.000 0.128 0.602
F1 0.000 0.053 0.123
F2 0.000 0.254 0.124
F3 0.000 0.343 0.750
```

Peak list (12 most intense, 5 to 70 degrees two-theta, in order of rising 2θ)
2θ (°)	d (Å)	I/Imax	(hkl)
16.44	5.392	33.4	0 2 1
24.93	3.571	100.0	1 1 0
28.14	3.171	40.9	0 4 0
29.72	3.006	92.2	0 2 3
32.04	2.794	28.7	1 3 0
35.05	2.560	25.0	0 0 4
36.41	2.468	26.6	1 1 3
41.78	2.162	28.2	1 3 3
43.49	2.081	28.3	1 1 4
48.95	1.861	22.7	2 0 0
51.13	1.786	33.4	1 5 3
58.32	1.582	25.3	2 2 3

Starting from a cell relaxed with GGA-PBE, the X-ray powder pattern of K2Al3AgF12 was calculated for Cu Kα (λ = 1.5418 Å).
Kinematic intensities with the Lorentz-polarization factor, no thermal factor.

Structural model:
```
data_K2Al3AgF12
_space_group_name_H-M_alt 'R -3 m'
_space_group_IT_number 166
_space_group_name_Hall '-R 3 2"'
_cell_length_a 7.1064
_cell_length_b 7.1064
_cell_length_c 17.6562
_cell_angle_alpha 90.00
_cell_angle_beta 90.00
_cell_angle_gamma 120.00
loop_
_atom_site_label
_atom_site_fract_x
_atom_site_fract_y
_atom_site_fract_z
K1 0.0000 0.0000 0.1272
Al1 0.0000 0.5000 0.0000
Ag1 0.0000 0.0000 0.5000
F1 0.0278 0.5139 0.8997
F2 0.0817 0.5409 0.3255
```

Peak list (12 most intense, 5 to 70 degrees two-theta, in order of rising 2θ)
2θ (°)	d (Å)	I/Imax	(hkl)
15.25	5.811	87.5	1 0 1
25.06	3.553	22.0	1 1 0
29.16	3.063	27.7	0 1 5
29.36	3.042	100.0	1 1 3
30.37	2.943	17.3	0 0 6
30.77	2.906	30.1	2 0 2
38.82	2.320	37.4	2 0 5
40.09	2.249	26.2	1 2 2
46.90	1.937	36.0	0 3 3
50.92	1.793	13.5	2 0 8
51.43	1.777	38.7	2 2 0
60.44	1.532	12.4	0 2 10